Diffraction record for TbSn2. The powder diffraction line list is simulated, not measured: it uses a structure optimized by DFT (PBE) and Cu Kα (λ = 1.5418 Å).

Largest 8 diffraction maxima, low angle first, 10° ≤ 2θ ≤ 80°:
Position (°2θ)	I/Imax
32.8	20
33.1	100
40.6	16
41.3	15
53.1	10
59.3	10
69.1	12
70.1	12

Lattice parameters (Å, degrees): 8.494 8.494 4.372 90.00 90.00 149.66
Fractional positions:
Tb (0.099, 0.901, 0.750)
Tb (0.901, 0.099, 0.250)
Sn (0.251, 0.749, 0.250)
Sn (0.437, 0.563, 0.750)
Sn (0.563, 0.437, 0.250)
Sn (0.749, 0.251, 0.750)

---

Diffraction record for TbZnSn2. The powder diffraction line list is simulated, not measured: it uses a structure optimized by DFT (PBE) and Cu Kα (λ = 1.5418 Å).

Largest 8 diffraction maxima, low angle first, 10° ≤ 2θ ≤ 80°:
Position (°2θ)	I/Imax
27.2	13
34.2	100
36.5	12
41.2	33
50.0	8
56.2	14
59.6	11
70.5	24

Lattice parameters (Å, degrees): 4.387 4.387 9.842 90.00 90.00 90.00
Fractional positions:
Tb (0.250, 0.250, 0.247)
Tb (0.750, 0.750, 0.753)
Zn (0.250, 0.750, 0.000)
Zn (0.750, 0.250, 0.000)
Sn (0.250, 0.250, 0.815)
Sn (0.250, 0.750, 0.500)
Sn (0.750, 0.250, 0.500)
Sn (0.750, 0.750, 0.185)

---

Diffraction record for UTc2Sn. The powder diffraction line list is simulated, not measured: it uses a structure optimized by DFT (PBE) and Cu Kα (λ = 1.5418 Å).

Largest 8 diffraction maxima, low angle first, 10° ≤ 2θ ≤ 80°:
Position (°2θ)	I/Imax
23.1	9
26.8	9
38.2	100
45.2	5
47.3	3
55.2	17
62.4	4
69.1	36

Lattice parameters (Å, degrees): 4.707 4.707 4.707 60.00 60.00 60.00
Fractional positions:
U (0.000, 0.000, 0.000)
Tc (0.250, 0.250, 0.250)
Tc (0.750, 0.750, 0.750)
Sn (0.500, 0.500, 0.500)

---

Diffraction record for SnTe3. The powder diffraction line list is simulated, not measured: it uses a structure optimized by DFT (PBE) and Cu Kα (λ = 1.5418 Å).

Largest 5 diffraction maxima, low angle first, 10° ≤ 2θ ≤ 80°:
Position (°2θ)	I/Imax
32.8	100
47.1	18
58.6	38
68.8	12
78.3	16

Lattice parameters (Å, degrees): 5.461 5.461 5.461 60.00 60.00 60.00
Fractional positions:
Sn (0.000, 0.000, 0.000)
Te (0.250, 0.250, 0.250)
Te (0.500, 0.500, 0.500)
Te (0.750, 0.750, 0.750)

---

Diffraction record for Tl2SnTe3. The powder diffraction line list is simulated, not measured: it uses a structure optimized by DFT (PBE) and Cu Kα (λ = 1.5418 Å).

Largest 8 diffraction maxima, low angle first, 10° ≤ 2θ ≤ 80°:
Position (°2θ)	I/Imax
20.2	17
25.6	37
27.9	17
29.0	68
29.2	22
31.2	100
31.5	69
37.7	18

Lattice parameters (Å, degrees): 8.639 22.647 8.797 90.00 90.00 90.00
Fractional positions:
Tl (0.201, 0.168, 0.012)
Tl (0.201, 0.332, 0.012)
Tl (0.236, 0.010, 0.966)
Tl (0.236, 0.490, 0.966)
Tl (0.264, 0.510, 0.466)
Tl (0.264, 0.990, 0.466)
Tl (0.299, 0.668, 0.512)
Tl (0.299, 0.832, 0.512)
Tl (0.701, 0.168, 0.488)
Tl (0.701, 0.332, 0.488)
Tl (0.736, 0.010, 0.534)
Tl (0.736, 0.490, 0.534)
Tl (0.764, 0.510, 0.034)
Tl (0.764, 0.990, 0.034)
Tl (0.799, 0.668, 0.988)
Tl (0.799, 0.832, 0.988)
Sn (0.197, 0.165, 0.505)
Sn (0.197, 0.335, 0.505)
Sn (0.303, 0.665, 0.005)
Sn (0.303, 0.835, 0.005)
Sn (0.697, 0.165, 0.995)
Sn (0.697, 0.335, 0.995)
Sn (0.803, 0.665, 0.495)
Sn (0.803, 0.835, 0.495)
Te (0.020, 0.090, 0.321)
Te (0.020, 0.410, 0.321)
Te (0.022, 0.250, 0.675)
Te (0.098, 0.603, 0.190)
Te (0.098, 0.897, 0.190)
Te (0.133, 0.750, 0.830)
Te (0.367, 0.250, 0.330)
Te (0.402, 0.103, 0.690)
Te (0.402, 0.397, 0.690)
Te (0.478, 0.750, 0.175)
Te (0.480, 0.590, 0.821)
Te (0.480, 0.910, 0.821)
Te (0.520, 0.090, 0.179)
Te (0.520, 0.410, 0.179)
Te (0.522, 0.250, 0.825)
Te (0.598, 0.603, 0.310)
Te (0.598, 0.897, 0.310)
Te (0.633, 0.750, 0.670)
Te (0.867, 0.250, 0.170)
Te (0.902, 0.103, 0.810)
Te (0.902, 0.397, 0.810)
Te (0.978, 0.750, 0.325)
Te (0.980, 0.590, 0.679)
Te (0.980, 0.910, 0.679)

---

Diffraction record for Tl4SnTe3. The powder diffraction line list is simulated, not measured: it uses a structure optimized by DFT (PBE) and Cu Kα (λ = 1.5418 Å).

Largest 8 diffraction maxima, low angle first, 10° ≤ 2θ ≤ 80°:
Position (°2θ)	I/Imax
30.0	100
30.3	11
31.6	47
40.5	9
46.6	12
52.3	11
59.4	21
67.2	12

Lattice parameters (Å, degrees): 9.199 9.199 9.199 121.85 121.85 86.83
Fractional positions:
Tl (0.013, 0.513, 0.209)
Tl (0.196, 0.987, 0.500)
Tl (0.304, 0.804, 0.791)
Tl (0.487, 0.696, 0.500)
Tl (0.513, 0.304, 0.500)
Tl (0.696, 0.196, 0.209)
Tl (0.804, 0.013, 0.500)
Tl (0.987, 0.487, 0.791)
Sn (0.000, 0.000, 0.000)
Sn (0.500, 0.500, 0.000)
Te (0.166, 0.334, 0.500)
Te (0.250, 0.250, 0.000)
Te (0.334, 0.834, 0.168)
Te (0.666, 0.166, 0.832)
Te (0.750, 0.750, 0.000)
Te (0.834, 0.666, 0.500)

---

Diffraction record for ZrSnTe. The powder diffraction line list is simulated, not measured: it uses a structure optimized by DFT (PBE) and Cu Kα (λ = 1.5418 Å).

Largest 8 diffraction maxima, low angle first, 10° ≤ 2θ ≤ 80°:
Position (°2θ)	I/Imax
29.7	30
30.4	30
32.4	100
37.1	60
37.7	48
44.1	51
54.5	24
59.3	25

Lattice parameters (Å, degrees): 4.110 4.110 8.807 90.00 90.00 90.00
Fractional positions:
Zr (0.250, 0.250, 0.236)
Zr (0.750, 0.750, 0.764)
Sn (0.250, 0.750, 0.500)
Sn (0.750, 0.250, 0.500)
Te (0.250, 0.250, 0.881)
Te (0.750, 0.750, 0.119)

---

Diffraction record for Ti5Sn3. The powder diffraction line list is simulated, not measured: it uses a structure optimized by DFT (PBE) and Cu Kα (λ = 1.5418 Å).

Largest 8 diffraction maxima, low angle first, 10° ≤ 2θ ≤ 80°:
Position (°2θ)	I/Imax
27.5	60
32.9	33
37.8	100
38.6	50
39.9	63
49.9	38
62.0	23
76.5	23

Lattice parameters (Å, degrees): 8.080 8.080 5.443 90.00 90.00 120.00
Fractional positions:
Ti (0.000, 0.243, 0.250)
Ti (0.000, 0.757, 0.750)
Ti (0.243, 0.000, 0.250)
Ti (0.243, 0.243, 0.750)
Ti (0.333, 0.667, 0.000)
Ti (0.333, 0.667, 0.500)
Ti (0.667, 0.333, 0.000)
Ti (0.667, 0.333, 0.500)
Ti (0.757, 0.000, 0.750)
Ti (0.757, 0.757, 0.250)
Sn (0.000, 0.391, 0.750)
Sn (0.000, 0.609, 0.250)
Sn (0.391, 0.000, 0.750)
Sn (0.391, 0.391, 0.250)
Sn (0.609, 0.000, 0.250)
Sn (0.609, 0.609, 0.750)

---

Diffraction record for Ti3Sn. The powder diffraction line list is simulated, not measured: it uses a structure optimized by DFT (PBE) and Cu Kα (λ = 1.5418 Å).

Largest 8 diffraction maxima, low angle first, 10° ≤ 2θ ≤ 80°:
Position (°2θ)	I/Imax
25.8	29
35.5	35
37.9	45
39.1	70
40.4	100
52.9	21
70.2	19
74.9	21

Lattice parameters (Å, degrees): 6.005 6.005 4.744 90.00 90.00 122.64
Fractional positions:
Ti (0.169, 0.314, 0.750)
Ti (0.178, 0.822, 0.750)
Ti (0.314, 0.169, 0.250)
Ti (0.686, 0.831, 0.750)
Ti (0.822, 0.178, 0.250)
Ti (0.831, 0.686, 0.250)
Sn (0.332, 0.668, 0.250)
Sn (0.668, 0.332, 0.750)

---

Diffraction record for Ti3Sn. The powder diffraction line list is simulated, not measured: it uses a structure optimized by DFT (PBE) and Cu Kα (λ = 1.5418 Å).

Largest 8 diffraction maxima, low angle first, 10° ≤ 2θ ≤ 80°:
Position (°2θ)	I/Imax
21.3	23
30.3	20
37.4	100
43.4	48
48.9	12
63.1	31
75.7	36
79.7	10

Lattice parameters (Å, degrees): 4.167 4.167 4.167 90.00 90.00 90.00
Fractional positions:
Ti (0.000, 0.000, 0.500)
Ti (0.000, 0.500, 0.000)
Ti (0.500, 0.000, 0.000)
Sn (0.500, 0.500, 0.500)

---

Diffraction record for Ti3Sn. The powder diffraction line list is simulated, not measured: it uses a structure optimized by DFT (PBE) and Cu Kα (λ = 1.5418 Å).

Largest 8 diffraction maxima, low angle first, 10° ≤ 2θ ≤ 80°:
Position (°2θ)	I/Imax
23.3	18
27.0	10
38.5	100
45.5	11
55.6	16
61.1	5
62.9	5
69.7	33

Lattice parameters (Å, degrees): 4.674 4.674 4.674 60.00 60.00 60.00
Fractional positions:
Ti (0.000, 0.000, 0.000)
Ti (0.250, 0.250, 0.250)
Ti (0.750, 0.750, 0.750)
Sn (0.500, 0.500, 0.500)

---

Diffraction record for Ti2Sn3. The powder diffraction line list is simulated, not measured: it uses a structure optimized by DFT (PBE) and Cu Kα (λ = 1.5418 Å).

Largest 8 diffraction maxima, low angle first, 10° ≤ 2θ ≤ 80°:
Position (°2θ)	I/Imax
29.6	39
31.2	29
32.3	28
33.7	36
37.0	100
39.3	33
39.5	60
40.4	31

Lattice parameters (Å, degrees): 10.488 10.488 7.058 90.00 90.00 146.80
Fractional positions:
Ti (0.081, 0.919, 0.952)
Ti (0.087, 0.413, 0.750)
Ti (0.413, 0.087, 0.250)
Ti (0.419, 0.581, 0.452)
Ti (0.581, 0.419, 0.548)
Ti (0.587, 0.913, 0.750)
Ti (0.913, 0.587, 0.250)
Ti (0.919, 0.081, 0.048)
Sn (0.122, 0.878, 0.574)
Sn (0.225, 0.775, 0.927)
Sn (0.229, 0.271, 0.750)
Sn (0.271, 0.229, 0.250)
Sn (0.275, 0.725, 0.427)
Sn (0.378, 0.622, 0.074)
Sn (0.622, 0.378, 0.926)
Sn (0.725, 0.275, 0.573)
Sn (0.729, 0.771, 0.750)
Sn (0.771, 0.729, 0.250)
Sn (0.775, 0.225, 0.073)
Sn (0.878, 0.122, 0.426)

---

Diffraction record for Ti3Sn. The powder diffraction line list is simulated, not measured: it uses a structure optimized by DFT (PBE) and Cu Kα (λ = 1.5418 Å).

Largest 8 diffraction maxima, low angle first, 10° ≤ 2θ ≤ 80°:
Position (°2θ)	I/Imax
25.6	26
35.1	24
37.8	26
40.0	100
52.5	15
62.9	17
69.8	18
75.8	19

Lattice parameters (Å, degrees): 5.912 5.912 4.756 90.00 90.00 120.00
Fractional positions:
Ti (0.164, 0.329, 0.250)
Ti (0.164, 0.836, 0.250)
Ti (0.329, 0.164, 0.750)
Ti (0.671, 0.836, 0.250)
Ti (0.836, 0.164, 0.750)
Ti (0.836, 0.671, 0.750)
Sn (0.333, 0.667, 0.750)
Sn (0.667, 0.333, 0.250)